No. 1
Starting from the GGA-PBE geometry in Alexandria, the X-ray diffraction stick pattern of Nd5Tl6Cd was calculated for Cu Kα (weighted mean of Kα1 and Kα2).
Kinematic intensities with the Lorentz-polarization factor, no thermal factor.

Principal peaks in the range 15° ≤ 2θ ≤ 90°, in order of falling intensity:
2θ (°), d [Å], I (rel.)
32.35, 2.768, 100.0
33.66, 2.662, 19.5
45.35, 2.000, 8.0
57.65, 1.599, 8.0
59.44, 1.555, 7.4
59.30, 1.558, 7.3
56.82, 1.620, 7.0
47.30, 1.922, 6.5
47.51, 1.914, 6.4
75.49, 1.259, 6.2

Atomic structure:
Unit cell a=9.575 b=9.575 c=5.325 alpha=105.92 beta=105.92 gamma=49.38
Sites, in units of the cell vectors:
1 Nd 0.000 0.000 0.000
2 Nd 0.177 0.177 0.676
3 Nd 0.360 0.360 0.360
4 Nd 0.640 0.640 0.640
5 Nd 0.823 0.823 0.324
6 Tl 0.075 0.589 0.833
7 Tl 0.228 0.772 0.500
8 Tl 0.411 0.925 0.167
9 Tl 0.589 0.075 0.833
10 Tl 0.772 0.228 0.500
11 Tl 0.925 0.411 0.167
12 Cd 0.500 0.500 0.000

=====

No. 2
Starting from the GGA-PBE geometry in Alexandria, the X-ray diffraction stick pattern of Nd2Ga3Au6 was calculated for Cu Kα (weighted mean of Kα1 and Kα2).
Kinematic intensities with the Lorentz-polarization factor, no thermal factor.

Principal peaks in the range 15° ≤ 2θ ≤ 90°, in order of falling intensity:
2θ (°), d [Å], I (rel.)
30.48, 2.932, 100.0
40.82, 2.210, 67.2
40.35, 2.235, 30.7
40.21, 2.243, 29.4
67.10, 1.395, 28.4
35.29, 2.543, 22.8
58.28, 1.583, 19.8
54.67, 1.679, 13.2
63.42, 1.467, 13.1
45.23, 2.005, 12.7

Atomic structure:
Unit cell a=7.769 b=7.769 c=4.471 alpha=90.00 beta=90.00 gamma=120.00
Sites, in units of the cell vectors:
1 Nd 0.333 0.667 0.000
2 Nd 0.667 0.333 0.000
3 Ga 0.000 0.630 0.500
4 Ga 0.370 0.370 0.500
5 Ga 0.630 0.000 0.500
6 Au 0.000 0.308 0.500
7 Au 0.000 0.790 0.000
8 Au 0.210 0.210 0.000
9 Au 0.308 0.000 0.500
10 Au 0.692 0.692 0.500
11 Au 0.790 0.000 0.000

=====

No. 3
Starting from the GGA-PBE geometry in Alexandria, the X-ray diffraction stick pattern of Dy5Hg3 was calculated for Cu Kα (weighted mean of Kα1 and Kα2).
Kinematic intensities with the Lorentz-polarization factor, no thermal factor.

Principal peaks in the range 15° ≤ 2θ ≤ 90°, in order of falling intensity:
2θ (°), d [Å], I (rel.)
32.83, 2.728, 100.0
34.57, 2.594, 46.6
60.85, 1.522, 34.7
49.70, 1.835, 16.9
57.46, 1.604, 16.8
68.82, 1.364, 9.8
44.40, 2.040, 8.9
83.28, 1.160, 7.8
82.30, 1.172, 7.5
74.38, 1.275, 5.6

Atomic structure:
Unit cell a=3.669 b=3.669 c=16.322 alpha=90.00 beta=90.00 gamma=90.00
Sites, in units of the cell vectors:
1 Dy 0.000 0.000 0.000
2 Dy 0.000 0.000 0.232
3 Dy 0.000 0.000 0.768
4 Dy 0.500 0.500 0.382
5 Dy 0.500 0.500 0.618
6 Hg 0.000 0.000 0.500
7 Hg 0.500 0.500 0.117
8 Hg 0.500 0.500 0.883

=====

Please write out number 1 again, unchanged.
Starting from the GGA-PBE geometry in Alexandria, the X-ray diffraction stick pattern of Nd5Tl6Cd was calculated for Cu Kα (weighted mean of Kα1 and Kα2).
Kinematic intensities with the Lorentz-polarization factor, no thermal factor.

Principal peaks in the range 15° ≤ 2θ ≤ 90°, in order of falling intensity:
2θ (°), d [Å], I (rel.)
32.35, 2.768, 100.0
33.66, 2.662, 19.5
45.35, 2.000, 8.0
57.65, 1.599, 8.0
59.44, 1.555, 7.4
59.30, 1.558, 7.3
56.82, 1.620, 7.0
47.30, 1.922, 6.5
47.51, 1.914, 6.4
75.49, 1.259, 6.2

Atomic structure:
Unit cell a=9.575 b=9.575 c=5.325 alpha=105.92 beta=105.92 gamma=49.38
Sites, in units of the cell vectors:
1 Nd 0.000 0.000 0.000
2 Nd 0.177 0.177 0.676
3 Nd 0.360 0.360 0.360
4 Nd 0.640 0.640 0.640
5 Nd 0.823 0.823 0.324
6 Tl 0.075 0.589 0.833
7 Tl 0.228 0.772 0.500
8 Tl 0.411 0.925 0.167
9 Tl 0.589 0.075 0.833
10 Tl 0.772 0.228 0.500
11 Tl 0.925 0.411 0.167
12 Cd 0.500 0.500 0.000